Structure and computed X-ray diffraction stick pattern of V6P3H (a structure optimized by DFT (PBE); Cu Kα (λ = 1.5418 Å)).

Structure:
Cell: 5.426 5.426 6.248 Å, 119.49 119.49 55.15°
Fractional positions:
V1 0.166 0.692 0.651
V2 0.228 0.228 0.841
V3 0.308 0.834 0.349
V4 0.692 0.166 0.651
V5 0.772 0.772 0.159
V6 0.834 0.308 0.349
P1 0.264 0.264 0.258
P2 0.500 0.500 0.000
P3 0.736 0.736 0.742
H1 0.000 0.000 0.500

The 12 most intense peaks (2θ = 15–90°), sorted by position:
2θ (°)  d_spacing  I_rel
34.52  2.598  23
34.74  2.582  46
35.10  2.556  41
38.21  2.356  100
38.67  2.329  31
39.87  2.261  62
42.50  2.127  83
43.94  2.061  50
46.51  1.953  87
50.97  1.792  43
51.50  1.774  25
71.44  1.320  22